This entry pairs a crystal structure of PmDyHo3Er with its computed XRD peak list. Radiation: Cu Kα (λ = 1.5418 Å). Structure: the PBE geometry in Alexandria.
Kinematic intensities with the Lorentz-polarization factor, no thermal factor.

Main lines, most intense first (15° ≤ 2θ ≤ 90°):
2theta, I/Imax
32.5, 100
30.9, 89
33.1, 57
33.9, 35
33.3, 32
48.1, 26
57.7, 20
58.7, 19
33.4, 16
60.7, 13

Atomic structure:
abc: 21.934 5.414 6.727
angles: 90.00 97.94 90.00
Space group C2/m (No. 12)
Asymmetric unit:
1 Pm 0.132 0.000 0.473
2 Dy 0.071 0.500 0.168
3 Ho 0.026 0.000 0.774
4 Ho 0.168 0.500 0.777
5 Ho 0.225 0.500 0.313
6 Er 0.167 0.000 0.031